Structure and computed X-ray diffraction stick pattern of Rb2PdBr6F (a structure optimized by DFT (PBE); Cu Kα (λ = 1.5418 Å)).
Neutral-atom scattering factors, no anomalous dispersion.

Crystal structure
Lattice parameters (Å, degrees): 7.2524 7.2524 11.3597 90.00 90.00 90.00
Space group I4/mmm (No. 139)
Asymmetric unit:
Rb 0.0000 0.5000 0.2500
Pd 0.0000 0.0000 0.0000
Br 0.0000 0.0000 0.2203
Br 0.2471 0.2471 0.0000
F 0.0000 0.0000 0.5000

Most intense lines, 10 to 90 degrees two-theta, sorted by position:
hkl  two_theta  I (rel.)
1 0 1  14.49  30
1 1 2  23.37  14
2 0 2  29.22  100
0 0 4  31.50  42
2 2 0  34.99  70
2 2 4  47.79  50
4 0 0  50.33  24
2 0 6  54.69  12
4 2 2  59.26  26
4 0 4  60.59  24

Structure and computed X-ray diffraction stick pattern of ErCd2Pb2 (a structure optimized by DFT (PBE); Cu Kα (λ = 1.5418 Å)).
Neutral-atom scattering factors, no anomalous dispersion.

Crystal structure
Lattice parameters (Å, degrees): 4.5584 24.5035 4.6049 90.00 90.00 90.00
Space group Cmcm (No. 63)
Asymmetric unit:
Er 0.0000 0.1448 0.2500
Cd 0.0000 0.0414 0.7500
Cd 0.0000 0.4559 0.7500
Pb 0.0000 0.2490 0.7500
Pb 0.0000 0.3650 0.2500

Most intense lines, 10 to 90 degrees two-theta, sorted by position:
hkl  two_theta  I (rel.)
1 3 1  29.67  11
1 5 1  33.15  100
0 10 0  36.68  15
0 0 2  39.12  17
2 0 0  39.54  17
0 10 2  54.70  9
2 10 0  55.02  9
2 0 2  56.84  12
1 5 3  67.12  13
3 5 1  67.69  13

Q: Number 1 is which compound?
A: Rb2PdBr6F